# 1
Starting from a DFT-relaxed cell (PBE, OQMD), the powder XRD pattern of NaDyHg6 was computed for Cu Kα, 1.54184 Å.

Most intense lines, 2θ = 5–70°, by angle:
2θ 15.40, d = 5.755 Å, I = 6.7; 2θ 23.29, d = 3.820 Å, I = 7.8; 2θ 31.08, d = 2.878 Å, I = 24.7; 2θ 35.14, d = 2.554 Å, I = 23.3; 2θ 35.82, d = 2.507 Å, I = 100.0; 2θ 47.61, d = 1.910 Å, I = 15.5; 2θ 55.30, d = 1.661 Å, I = 19.4; 2θ 63.49, d = 1.465 Å, I = 19.3; 2θ 67.23, d = 1.393 Å, I = 21.7; 2θ 67.65, d = 1.385 Å, I = 16.1

Structural model:
```
NaDyHg6
1.0
6.645 0.000 0.000
-3.323 5.755 0.000
0.000 0.000 5.107
Na Dy Hg
1 1 6
direct
0.000 0.000 0.000
0.667 0.333 0.500
0.001 0.500 0.000
0.167 0.334 0.500
0.167 0.833 0.500
0.500 0.500 0.000
0.500 0.999 0.000
0.666 0.833 0.500
```


# 2
Starting from a DFT-relaxed cell (PBE, OQMD), the powder XRD pattern of HoTlNO was computed for Cu Kα, 1.54184 Å.

Most intense lines, 2θ = 5–70°, by angle:
2θ 18.70, d = 4.744 Å, I = 1.2; 2θ 24.91, d = 3.574 Å, I = 0.9; 2θ 31.33, d = 2.855 Å, I = 100.0; 2θ 35.52, d = 2.527 Å, I = 50.6; 2θ 37.93, d = 2.372 Å, I = 21.1; 2θ 51.11, d = 1.787 Å, I = 17.8; 2θ 52.94, d = 1.730 Å, I = 32.0; 2θ 61.18, d = 1.515 Å, I = 31.8; 2θ 64.43, d = 1.446 Å, I = 13.7; 2θ 65.38, d = 1.427 Å, I = 16.8

Structural model:
```
HoTlNO
1.0
3.574 0.000 0.000
0.000 3.574 0.000
0.000 0.000 4.744
Ho Tl N O
1 1 1 1
direct
0.000 0.000 0.000
0.500 0.500 0.500
0.500 0.500 0.000
0.000 0.000 0.500
```


# 3
Starting from a DFT-relaxed cell (PBE, OQMD), the powder XRD pattern of Nd2HoPd2PtPb3 was computed for Cu Kα, 1.54184 Å.

Most intense lines, 2θ = 5–70°, by angle:
2θ 13.08, d = 6.770 Å, I = 17.2; 2θ 31.82, d = 2.812 Å, I = 100.0; 2θ 34.53, d = 2.597 Å, I = 77.3; 2θ 35.01, d = 2.563 Å, I = 31.8; 2θ 39.88, d = 2.261 Å, I = 28.3; 2θ 41.72, d = 2.165 Å, I = 26.3; 2θ 44.78, d = 2.024 Å, I = 24.7; 2θ 58.07, d = 1.588 Å, I = 15.1; 2θ 61.49, d = 1.508 Å, I = 16.0; 2θ 64.28, d = 1.449 Å, I = 24.0

Structural model:
```
Nd2HoPd2PtPb3
1.0
4.048 0.000 0.000
0.000 6.756 3.920
0.000 -6.756 3.920
Nd Ho Pd Pt Pb
2 1 2 1 3
direct
0.000 0.201 0.799
0.000 0.799 0.201
0.000 0.401 0.401
0.500 0.139 0.463
0.500 0.463 0.139
0.000 0.793 0.793
0.500 0.061 0.061
0.500 0.535 0.798
0.500 0.798 0.535
```


# 4
Starting from a DFT-relaxed cell (PBE, OQMD), the powder XRD pattern of TmScCdC was computed for Cu Kα, 1.54184 Å.

Most intense lines, 2θ = 5–70°, by angle:
2θ 5.54, d = 15.964 Å, I = 35.4; 2θ 16.66, d = 5.321 Å, I = 16.5; 2θ 30.22, d = 2.957 Å, I = 29.6; 2θ 33.69, d = 2.661 Å, I = 21.2; 2θ 34.71, d = 2.585 Å, I = 100.0; 2θ 45.88, d = 1.978 Å, I = 21.8; 2θ 53.69, d = 1.707 Å, I = 18.8; 2θ 60.91, d = 1.521 Å, I = 18.1; 2θ 64.90, d = 1.437 Å, I = 18.6; 2θ 65.53, d = 1.425 Å, I = 15.2

Structural model:
```
TmScCdC
1.0
3.414 0.000 0.000
-1.707 2.957 0.000
0.000 0.000 15.964
Tm Sc Cd C
2 2 2 2
direct
0.000 0.000 0.172
0.000 0.000 0.828
0.667 0.333 0.332
0.667 0.333 0.668
0.000 0.000 0.500
0.667 0.333 0.000
0.333 0.667 0.257
0.333 0.667 0.743
```